Structure and theoretical X-ray powder pattern of Na3YSiGeP2O12 (a structure optimized by DFT (GGA-PBE); Cu Ka).
No peak broadening, texture or thermal motion is included.

The 10 most intense peaks (2θ from 10° to 90°), in order of rising 2θ:
2theta, I_rel
18.53, 36
19.48, 90
19.71, 100
22.72, 44
23.60, 30
26.96, 56
30.76, 46
31.97, 38
34.01, 57
34.17, 39

Structure:
```
Na3YSiGeP2O12
1.0
7.785 -4.573 0.000
7.785 4.573 0.000
-5.775 0.000 7.640
Na Y Si Ge P O
6 2 2 2 4 24
direct
0.081 0.919 0.500 Na
0.189 0.394 0.692 Na
0.314 0.767 0.908 Na
0.394 0.189 0.192 Na
0.767 0.314 0.408 Na
0.919 0.081 0.000 Na
0.172 0.659 0.087 Y
0.659 0.172 0.587 Y
0.336 0.576 0.489 Si
0.576 0.336 0.989 Si
0.493 0.929 0.833 Ge
0.929 0.493 0.333 Ge
0.092 0.229 0.873 P
0.229 0.092 0.373 P
0.761 0.829 0.175 P
0.829 0.761 0.675 P
0.010 0.730 0.827 O
0.053 0.258 0.024 O
0.058 0.271 0.375 O
0.132 0.389 0.898 O
0.146 0.559 0.475 O
0.179 0.945 0.188 O
0.258 0.053 0.524 O
0.269 0.632 0.327 O
0.271 0.058 0.875 O
0.373 0.752 0.675 O
0.389 0.132 0.398 O
0.402 0.515 0.990 O
0.515 0.402 0.490 O
0.559 0.146 0.975 O
0.579 0.835 0.008 O
0.632 0.269 0.827 O
0.666 0.802 0.722 O
0.730 0.010 0.327 O
0.752 0.373 0.175 O
0.802 0.666 0.222 O
0.806 0.908 0.627 O
0.835 0.579 0.508 O
0.908 0.806 0.127 O
0.945 0.179 0.688 O
```


Structure and theoretical X-ray powder pattern of Pr3Si2S8Br (a structure optimized by DFT (GGA-PBE); Cu Ka).
No peak broadening, texture or thermal motion is included.

The 10 most intense peaks (2θ from 10° to 90°), in order of rising 2θ:
2theta, I_rel
16.25, 100
22.79, 64
24.21, 74
26.10, 46
32.58, 79
33.80, 45
34.58, 55
37.55, 44
38.99, 63
40.02, 64

Structure:
```
Pr3Si2S8Br
1.0
7.808 0.000 0.000
-3.904 7.944 0.000
0.000 -1.455 10.909
Pr Si S Br
6 4 16 2
direct
0.000 0.000 0.000 Pr
0.069 0.599 0.568 Pr
0.318 0.608 0.065 Pr
0.461 0.384 0.434 Pr
0.710 0.383 0.935 Pr
0.787 0.003 0.502 Pr
0.014 0.319 0.283 Si
0.087 0.319 0.778 Si
0.699 0.680 0.718 Si
0.761 0.675 0.220 Si
0.099 0.563 0.840 S
0.122 0.133 0.298 S
0.134 0.288 0.592 S
0.254 0.568 0.338 S
0.285 0.282 0.895 S
0.498 0.710 0.609 S
0.533 0.430 0.170 S
0.651 0.695 0.913 S
0.672 0.864 0.200 S
0.687 0.431 0.666 S
0.793 0.294 0.398 S
0.802 0.131 0.804 S
0.839 0.695 0.412 S
0.948 0.300 0.093 S
0.983 0.869 0.707 S
0.999 0.712 0.109 S
0.393 0.997 0.505 Br
0.404 0.001 0.003 Br
```


Structure and theoretical X-ray powder pattern of Be4NiGe (a structure optimized by DFT (GGA-PBE); Cu Ka).
No peak broadening, texture or thermal motion is included.

The 9 most intense peaks (2θ from 10° to 90°), in order of rising 2θ:
2theta, I_rel
25.16, 97
29.13, 1
41.66, 100
49.29, 75
51.64, 1
60.38, 11
66.46, 18
76.04, 31
81.58, 22

Structure:
```
Be4NiGe
1.0
0.000 3.066 3.066
3.066 0.000 3.066
3.066 3.066 0.000
Be Ni Ge
4 1 1
direct
0.377 0.377 0.377 Be
0.377 0.377 0.870 Be
0.377 0.870 0.377 Be
0.870 0.377 0.377 Be
0.750 0.750 0.750 Ni
0.000 0.000 0.000 Ge
```